Computed powder XRD pattern
Compound: Rb3Sc2Br9
Radiation: copper Kα
Structure: a crystal structure in the Materials Project, relaxed with PBE

Most intense lines, 10 to 80 degrees two-theta, low angle first:
| h k l | two_theta | I/Imax |
| --- | --- | --- |
| 1 0 1 | 14.06 | 21 |
| 0 0 6 | 27.18 | 77 |
| 2 0 2 | 28.33 | 86 |
| 2 0 3 | 30.13 | 100 |
| 2 0 4 | 32.50 | 75 |
| 2 0 5 | 35.33 | 23 |
| 2 2 0 | 47.36 | 52 |
| 2 0 9 | 49.89 | 23 |
| 2 2 6 | 55.46 | 45 |
| 2 2 12 | 76.37 | 27 |

Structure:
```
28
Lattice="7.678 0.000 0.000 -3.839 6.649 0.000 0.000 0.000 19.693" Properties=species:S:1:pos:R:3 pbc="T T T"
Rb 0.000 0.000 4.923
Rb 0.000 0.000 14.770
Rb 0.000 4.433 1.383
Rb 0.000 4.433 8.463
Rb 3.839 2.216 11.230
Rb 3.839 2.216 18.310
Sc 0.000 4.433 12.932
Sc 0.000 4.433 16.608
Sc 3.839 2.216 3.085
Sc 3.839 2.216 6.761
Br -1.812 3.387 14.770
Br 0.000 2.239 11.613
Br 0.000 2.239 17.926
Br -1.900 5.530 11.613
Br -1.900 5.530 17.926
Br 1.939 1.119 1.767
Br 1.939 1.119 8.080
Br 1.812 3.387 14.770
Br 0.000 6.525 14.770
Br 3.839 0.124 4.923
Br 2.027 3.263 4.923
Br 1.900 5.530 11.613
Br 1.900 5.530 17.926
Br 5.739 1.119 1.767
Br 5.739 1.119 8.080
Br 3.839 4.411 1.767
Br 3.839 4.411 8.080
Br 5.651 3.263 4.923
```